Structure and simulated X-ray diffraction stick pattern of V4Cd3AgO12 (a GGA+U-relaxed structure; Cu Kα).
Peak positions follow from Bragg's law for the DFT cell and can differ from measured ones.

Atomic structure:
```
20
Lattice="6.053 3.495 2.300 -6.053 3.495 2.300 0.000 -6.990 2.300" Properties=species:S:1:pos:R:3 pbc="T T T"
V 0.000 0.000 0.000
V -2.592 -2.501 2.300
V -0.870 3.495 2.300
V -2.592 2.501 4.601
Cd -5.251 0.000 3.450
Cd 2.625 -4.547 3.450
Cd 2.625 4.547 3.450
Ag 0.000 0.000 3.450
O -3.466 -0.986 2.300
O -5.192 2.003 2.300
O 0.861 -5.498 2.300
O -0.812 -2.825 2.508
O -2.041 2.116 2.508
O -2.041 -2.116 4.393
O 2.587 -2.509 2.300
O 0.880 3.495 2.300
O 2.853 0.710 2.508
O -0.812 2.825 4.393
O 2.853 -0.710 4.393
O 4.330 3.495 2.300
```

Top 8 peaks for 2θ from 10° to 80°, sorted by position:
| two_theta | d/Å | Rel. int. |
| --- | --- | --- |
| 21.28 | 4.174 | 28 |
| 25.49 | 3.495 | 29 |
| 25.93 | 3.436 | 60 |
| 29.51 | 3.027 | 51 |
| 31.03 | 2.882 | 100 |
| 33.44 | 2.680 | 44 |
| 40.57 | 2.224 | 26 |
| 54.67 | 1.679 | 40 |